Computed powder diffractogram of RbZr4Br8 for Cu Kα, 1.54184 Å, from DFT lattice parameters and positions (GGA-PBE).
Peak positions follow from Bragg's law for the DFT cell and can differ from measured ones.

Structural model:
```
data_RbZr4Br8
_chemical_formula_sum 'Rb2 Zr8 Br16'
_cell_length_a 19.5679
_cell_length_b 3.6057
_cell_length_c 13.7499
_cell_angle_alpha 90.00
_cell_angle_beta 134.02
_cell_angle_gamma 90.00
_space_group_name_H-M_alt 'C 1 2/m 1'
_space_group_IT_number 12
loop_
_space_group_symop_operation_xyz
'x,y,z'
'-x,-y,-z'
'-x,y,-z'
'x,-y,z'
'x+1/2,y+1/2,z'
'-x+1/2,-y+1/2,-z'
'-x+1/2,y+1/2,-z'
'x+1/2,-y+1/2,z'
loop_
_atom_site_label
_atom_site_type_symbol
_atom_site_fract_x
_atom_site_fract_y
_atom_site_fract_z
_atom_site_occupancy
Rb1 Rb 0.0000 0.0000 0.0000 1
Zr1 Zr 0.1764 0.0000 0.4817 1
Zr2 Zr 0.1925 0.5000 0.8713 1
Br1 Br 0.0372 0.0000 0.7139 1
Br2 Br 0.1324 0.5000 0.2912 1
Br3 Br 0.1602 0.5000 0.6235 1
Br4 Br 0.1670 0.5000 0.0438 1
```

Main lines, by angle (2θ from 15° to 90°):
2θ (°)  d [Å]  I (rel.)
28.78  3.102  24
31.29  2.859  100
31.57  2.834  91
34.04  2.634  22
36.22  2.480  59
36.32  2.473  25
36.73  2.447  72
37.72  2.385  36
38.38  2.345  39
39.32  2.292  28
48.66  1.871  30
50.63  1.803  38